This entry pairs a crystal structure of Fe7O2F14 with its theoretical powder diffraction line list. Radiation: λ = 1.5418 Å (Cu Kα). Structure: the PBE+U geometry in the Materials Project.
Peak positions follow from Bragg's law for the DFT cell and can differ from measured ones.

Structural model:
Unit cell a=4.8473 b=6.0721 c=10.3942 alpha=93.32 beta=90.07 gamma=92.11
Fractional coordinates of all 23 atoms:
1 Fe 0.0000 0.0000 0.0000
2 Fe 0.0000 0.5000 0.0000
3 Fe 0.0092 0.2443 0.7418
4 Fe 0.4929 0.7271 0.7565
5 Fe 0.5000 0.0000 0.5000
6 Fe 0.5071 0.2729 0.2435
7 Fe 0.9908 0.7557 0.2582
8 O 0.1712 0.2613 0.9101
9 O 0.8288 0.7387 0.0899
10 F 0.2231 0.4839 0.6780
11 F 0.2294 0.0082 0.1786
12 F 0.2382 0.5105 0.1684
13 F 0.2400 0.7905 0.4081
14 F 0.2542 0.7407 0.9189
15 F 0.2597 0.0135 0.6604
16 F 0.3319 0.2348 0.4172
17 F 0.6681 0.7652 0.5828
18 F 0.7403 0.9865 0.3396
19 F 0.7458 0.2593 0.0811
20 F 0.7600 0.2095 0.5919
21 F 0.7618 0.4895 0.8316
22 F 0.7706 0.9918 0.8214
23 F 0.7769 0.5161 0.3220

Principal peaks in the range 2θ from 10° to 80°, by angle:
| 2θ/deg | intensity |
| --- | --- |
| 20.23 | 100 |
| 24.36 | 38 |
| 24.92 | 79 |
| 25.77 | 75 |
| 33.38 | 25 |
| 39.35 | 26 |
| 49.91 | 33 |
| 51.13 | 31 |
| 51.57 | 50 |
| 51.72 | 28 |

This entry pairs a crystal structure of Fe4OF7 with its theoretical powder diffraction line list. Radiation: λ = 1.5418 Å (Cu Kα). Structure: the PBE+U geometry in the Materials Project.
Peak positions follow from Bragg's law for the DFT cell and can differ from measured ones.

Structural model:
Unit cell a=5.8126 b=4.8064 c=10.9133 alpha=90.00 beta=98.01 gamma=90.00
Fractional coordinates of all 24 atoms:
1 Fe 0.1037 0.0000 0.1306
2 Fe 0.1267 0.5065 0.6320
3 Fe 0.3671 0.0333 0.8746
4 Fe 0.3779 0.5221 0.3761
5 Fe 0.6221 0.0221 0.6239
6 Fe 0.6329 0.5333 0.1254
7 Fe 0.8733 0.0065 0.3680
8 Fe 0.8963 0.5000 0.8694
9 O 0.1378 0.3283 0.8087
10 O 0.8622 0.8283 0.1913
11 F 0.0946 0.8134 0.9609
12 F 0.1049 0.7194 0.4539
13 F 0.1593 0.2215 0.2901
14 F 0.3477 0.7282 0.1987
15 F 0.3482 0.8235 0.6997
16 F 0.3864 0.2121 0.0622
17 F 0.4001 0.3193 0.5491
18 F 0.5999 0.8193 0.4509
19 F 0.6136 0.7121 0.9378
20 F 0.6523 0.2282 0.8013
21 F 0.6518 0.3235 0.3003
22 F 0.8407 0.7215 0.7099
23 F 0.8951 0.2194 0.5461
24 F 0.9054 0.3134 0.0391

Principal peaks in the range 2θ from 10° to 80°, by angle:
| 2θ/deg | intensity |
| --- | --- |
| 26.21 | 100 |
| 33.17 | 58 |
| 37.41 | 7 |
| 38.22 | 21 |
| 50.85 | 66 |
| 53.94 | 20 |
| 56.36 | 11 |
| 60.93 | 10 |
| 63.18 | 13 |
| 64.80 | 23 |

This entry pairs a crystal structure of Fe4O7F with its theoretical powder diffraction line list. Radiation: λ = 1.5418 Å (Cu Kα). Structure: the PBE+U geometry in the Materials Project.
Peak positions follow from Bragg's law for the DFT cell and can differ from measured ones.

Structural model:
Unit cell a=5.5303 b=9.2877 c=5.5455 alpha=90.00 beta=114.51 gamma=90.00
Fractional coordinates of all 24 atoms:
1 Fe 0.0000 0.1184 0.0000
2 Fe 0.0000 0.8816 0.5000
3 Fe 0.4762 0.3814 0.0133
4 Fe 0.4762 0.6186 0.5133
5 Fe 0.4885 0.1215 0.4812
6 Fe 0.4885 0.8785 0.9812
7 Fe 0.9860 0.3730 0.4987
8 Fe 0.9860 0.6270 0.9987
9 O 0.1427 0.2784 0.8464
10 O 0.1427 0.7216 0.3464
11 O 0.1489 0.2191 0.3427
12 O 0.1489 0.7809 0.8427
13 O 0.3315 0.4679 0.6677
14 O 0.3315 0.5321 0.1677
15 O 0.3448 0.0213 0.1434
16 O 0.3448 0.9787 0.6434
17 O 0.6399 0.2771 0.3431
18 O 0.6399 0.7229 0.8431
19 O 0.8261 0.4696 0.1565
20 O 0.8261 0.5304 0.6565
21 O 0.8344 0.0310 0.6471
22 O 0.8344 0.9690 0.1471
23 F 0.6422 0.2253 0.8478
24 F 0.6422 0.7747 0.3478

Principal peaks in the range 2θ from 10° to 80°, by angle:
| 2θ/deg | intensity |
| --- | --- |
| 27.12 | 100 |
| 35.64 | 39 |
| 35.69 | 13 |
| 40.74 | 13 |
| 53.54 | 14 |
| 53.68 | 44 |
| 55.92 | 16 |
| 61.96 | 8 |
| 68.16 | 15 |
| 68.95 | 6 |

This entry pairs a crystal structure of Fe6O7F5 with its theoretical powder diffraction line list. Radiation: λ = 1.5418 Å (Cu Kα). Structure: the PBE+U geometry in the Materials Project.
Peak positions follow from Bragg's law for the DFT cell and can differ from measured ones.

Structural model:
Unit cell a=4.8028 b=5.6784 c=7.7524 alpha=84.12 beta=86.22 gamma=84.81
Fractional coordinates of all 18 atoms:
1 Fe 0.0000 0.0000 0.0000
2 Fe 0.0020 0.3252 0.6792
3 Fe 0.0164 0.6731 0.3475
4 Fe 0.5095 0.5021 0.0089
5 Fe 0.5110 0.1703 0.3441
6 Fe 0.5503 0.8615 0.6905
7 O 0.3151 0.4681 0.2449
8 O 0.3188 0.1365 0.5727
9 O 0.3207 0.8021 0.9127
10 O 0.7059 0.2039 0.1153
11 O 0.7124 0.8768 0.4431
12 O 0.7131 0.5428 0.7808
13 O 0.8277 0.0486 0.7816
14 F 0.1913 0.6209 0.5743
15 F 0.1997 0.9635 0.2368
16 F 0.2079 0.3006 0.9103
17 F 0.8165 0.3786 0.4448
18 F 0.8228 0.7044 0.1165

Principal peaks in the range 2θ from 10° to 80°, by angle:
| 2θ/deg | intensity |
| --- | --- |
| 24.94 | 100 |
| 27.81 | 86 |
| 34.97 | 91 |
| 37.70 | 17 |
| 38.88 | 16 |
| 50.73 | 63 |
| 51.16 | 17 |
| 53.96 | 47 |
| 60.89 | 15 |
| 66.28 | 29 |

This entry pairs a crystal structure of Fe5O3F7 with its theoretical powder diffraction line list. Radiation: λ = 1.5418 Å (Cu Kα). Structure: the PBE+U geometry in the Materials Project.
Peak positions follow from Bragg's law for the DFT cell and can differ from measured ones.

Structural model:
Unit cell a=4.7693 b=15.6000 c=4.7836 alpha=90.00 beta=90.35 gamma=90.00
Fractional coordinates of all 30 atoms:
1 Fe 0.0000 0.0000 0.0000
2 Fe 0.0171 0.2084 0.9905
3 Fe 0.0171 0.7916 0.9905
4 Fe 0.4551 0.2954 0.4977
5 Fe 0.4551 0.7046 0.4977
6 Fe 0.4628 0.1009 0.4531
7 Fe 0.4628 0.8991 0.4531
8 Fe 0.5223 0.5000 0.4321
9 Fe 0.9852 0.4013 0.9687
10 Fe 0.9852 0.5987 0.9687
11 O 0.1602 0.3036 0.7990
12 O 0.1602 0.6964 0.7990
13 O 0.2829 0.1964 0.2890
14 O 0.2829 0.8036 0.2890
15 O 0.2997 0.0000 0.2880
16 O 0.8098 0.5000 0.1388
17 F 0.1822 0.1042 0.7796
18 F 0.1822 0.8958 0.7796
19 F 0.1942 0.5000 0.7595
20 F 0.2761 0.3985 0.2751
21 F 0.2761 0.6015 0.2751
22 F 0.6796 0.3973 0.6753
23 F 0.6796 0.6027 0.6753
24 F 0.6837 0.1916 0.6963
25 F 0.6837 0.8084 0.6963
26 F 0.6854 0.0000 0.6777
27 F 0.7737 0.3007 0.1872
28 F 0.7737 0.6993 0.1872
29 F 0.7863 0.1060 0.1781
30 F 0.7863 0.8940 0.1781

Principal peaks in the range 2θ from 10° to 80°, by angle:
| 2θ/deg | intensity |
| --- | --- |
| 26.31 | 94 |
| 26.47 | 91 |
| 34.33 | 100 |
| 39.26 | 18 |
| 39.37 | 20 |
| 51.78 | 55 |
| 51.97 | 54 |
| 59.23 | 18 |
| 65.77 | 19 |
| 65.95 | 39 |

This entry pairs a crystal structure of Fe3O5F with its theoretical powder diffraction line list. Radiation: λ = 1.5418 Å (Cu Kα). Structure: the PBE+U geometry in the Materials Project.
Peak positions follow from Bragg's law for the DFT cell and can differ from measured ones.

Structural model:
Unit cell a=5.5267 b=5.5298 c=7.2127 alpha=71.85 beta=71.71 gamma=72.85
Fractional coordinates of all 18 atoms:
1 Fe 0.0000 0.0000 0.0000
2 Fe 0.0072 0.9995 0.5105
3 Fe 0.3354 0.3240 0.6763
4 Fe 0.3531 0.2949 0.1729
5 Fe 0.6479 0.6465 0.3365
6 Fe 0.6647 0.6576 0.8485
7 O 0.1067 0.0874 0.2128
8 O 0.2433 0.2245 0.4629
9 O 0.2981 0.6796 0.5166
10 O 0.3631 0.9667 0.8363
11 O 0.4392 0.4214 0.8826
12 O 0.5600 0.5384 0.1403
13 O 0.6526 0.9964 0.1724
14 O 0.6913 0.2935 0.5120
15 O 0.8965 0.8879 0.8016
16 O 0.9790 0.3596 0.8318
17 F 0.0309 0.6177 0.1747
18 F 0.7696 0.7558 0.5378

Principal peaks in the range 2θ from 10° to 80°, by angle:
| 2θ/deg | intensity |
| --- | --- |
| 27.18 | 100 |
| 35.59 | 52 |
| 38.82 | 10 |
| 40.71 | 14 |
| 53.64 | 29 |
| 53.71 | 29 |
| 56.07 | 16 |
| 61.73 | 8 |
| 68.17 | 15 |
| 68.68 | 8 |

This entry pairs a crystal structure of Fe5O2F8 with its theoretical powder diffraction line list. Radiation: λ = 1.5418 Å (Cu Kα). Structure: the PBE+U geometry in the Materials Project.
Peak positions follow from Bragg's law for the DFT cell and can differ from measured ones.

Structural model:
Unit cell a=8.0553 b=4.7690 c=10.7486 alpha=90.00 beta=116.54 gamma=90.00
Fractional coordinates of all 30 atoms:
1 Fe 0.0000 0.0000 0.0000
2 Fe 0.0000 0.5000 0.5000
3 Fe 0.1967 0.0211 0.7872
4 Fe 0.1967 0.4789 0.2872
5 Fe 0.3763 0.0267 0.5936
6 Fe 0.3763 0.4733 0.0936
7 Fe 0.6237 0.5267 0.9064
8 Fe 0.6237 0.9733 0.4064
9 Fe 0.8033 0.5211 0.7128
10 Fe 0.8033 0.9789 0.2128
11 O 0.1779 0.2096 0.6082
12 O 0.1779 0.2904 0.1082
13 O 0.8221 0.7096 0.8918
14 O 0.8221 0.7904 0.3918
15 F 0.0215 0.6926 0.6831
16 F 0.0215 0.8074 0.1831
17 F 0.2211 0.6942 0.4744
18 F 0.2211 0.8058 0.9744
19 F 0.3945 0.1934 0.4234
20 F 0.3945 0.3066 0.9234
21 F 0.4202 0.6966 0.2715
22 F 0.4202 0.8034 0.7715
23 F 0.5798 0.1966 0.2285
24 F 0.5798 0.3034 0.7285
25 F 0.6055 0.6934 0.0766
26 F 0.6055 0.8066 0.5766
27 F 0.7789 0.1942 0.0256
28 F 0.7789 0.3058 0.5256
29 F 0.9785 0.1926 0.8169
30 F 0.9785 0.3074 0.3169

Principal peaks in the range 2θ from 10° to 80°, by angle:
| 2θ/deg | intensity |
| --- | --- |
| 26.28 | 100 |
| 33.43 | 13 |
| 33.64 | 41 |
| 38.53 | 9 |
| 50.95 | 16 |
| 51.25 | 31 |
| 51.41 | 15 |
| 54.08 | 18 |
| 57.39 | 10 |
| 65.52 | 11 |

This entry pairs a crystal structure of Fe10O11F9 with its theoretical powder diffraction line list. Radiation: λ = 1.5418 Å (Cu Kα). Structure: the PBE+U geometry in the Materials Project.
Peak positions follow from Bragg's law for the DFT cell and can differ from measured ones.

Structural model:
Unit cell a=4.7366 b=15.3294 c=4.7418 alpha=90.00 beta=92.26 gamma=90.00
Fractional coordinates of all 30 atoms:
1 Fe 0.0000 0.0000 0.0000
2 Fe 0.0211 0.3983 0.9701
3 Fe 0.0211 0.6017 0.9701
4 Fe 0.0352 0.1925 0.9789
5 Fe 0.0352 0.8075 0.9789
6 Fe 0.4504 0.3013 0.4834
7 Fe 0.4504 0.6987 0.4834
8 Fe 0.5008 0.1041 0.5056
9 Fe 0.5008 0.8959 0.5056
10 Fe 0.5121 0.5000 0.5449
11 O 0.1838 0.2979 0.1676
12 O 0.1838 0.7021 0.1676
13 O 0.1997 0.0929 0.1928
14 O 0.1997 0.9071 0.1928
15 O 0.3076 0.1984 0.6756
16 O 0.3076 0.8016 0.6756
17 O 0.3086 0.3999 0.6866
18 O 0.3086 0.6001 0.6866
19 O 0.8105 0.0943 0.8030
20 O 0.8105 0.9057 0.8030
21 O 0.8239 0.5000 0.8159
22 F 0.2134 0.5000 0.1997
23 F 0.3156 0.0000 0.6921
24 F 0.6927 0.0000 0.3116
25 F 0.6956 0.2007 0.2898
26 F 0.6956 0.7993 0.2898
27 F 0.6982 0.3997 0.2980
28 F 0.6982 0.6003 0.2980
29 F 0.7969 0.2974 0.7781
30 F 0.7969 0.7026 0.7781

Principal peaks in the range 2θ from 10° to 80°, by angle:
| 2θ/deg | intensity |
| --- | --- |
| 26.08 | 100 |
| 27.15 | 94 |
| 34.86 | 100 |
| 38.00 | 16 |
| 39.49 | 19 |
| 40.24 | 16 |
| 51.91 | 59 |
| 53.12 | 51 |
| 60.38 | 17 |
| 66.64 | 38 |

This entry pairs a crystal structure of Fe2O3F with its theoretical powder diffraction line list. Radiation: λ = 1.5418 Å (Cu Kα). Structure: the PBE+U geometry in the Materials Project.
Peak positions follow from Bragg's law for the DFT cell and can differ from measured ones.

Structural model:
Unit cell a=5.5888 b=5.5888 c=5.5888 alpha=114.79 beta=110.12 gamma=103.69
Fractional coordinates of all 12 atoms:
1 Fe 0.0000 0.0000 0.5000
2 Fe 0.0000 0.5000 0.0000
3 Fe 0.4654 0.2154 0.2500
4 Fe 0.5346 0.7846 0.7500
5 O 0.1783 0.9283 0.2500
6 O 0.3069 0.0000 0.8069
7 O 0.3069 0.5000 0.3069
8 O 0.6931 0.0000 0.1931
9 O 0.6931 0.5000 0.6931
10 O 0.8217 0.0717 0.7500
11 F 0.2025 0.4525 0.7500
12 F 0.7975 0.5475 0.2500

Principal peaks in the range 2θ from 10° to 80°, by angle:
| 2θ/deg | intensity |
| --- | --- |
| 25.80 | 100 |
| 27.87 | 95 |
| 35.41 | 100 |
| 38.35 | 18 |
| 39.72 | 17 |
| 52.01 | 56 |
| 54.34 | 54 |
| 57.59 | 15 |
| 61.59 | 16 |
| 67.45 | 37 |

This entry pairs a crystal structure of Fe2O3F with its theoretical powder diffraction line list. Radiation: λ = 1.5418 Å (Cu Kα). Structure: the PBE+U geometry in the Materials Project.
Peak positions follow from Bragg's law for the DFT cell and can differ from measured ones.

Structural model:
Unit cell a=7.5349 b=7.5349 c=6.3906 alpha=90.00 beta=90.00 gamma=132.93
Fractional coordinates of all 24 atoms:
1 Fe 0.1140 0.8860 0.7500
2 Fe 0.1271 0.3756 0.7500
3 Fe 0.3724 0.6276 0.2500
4 Fe 0.3756 0.1271 0.2500
5 Fe 0.6244 0.8729 0.7500
6 Fe 0.6276 0.3724 0.7500
7 Fe 0.8729 0.6244 0.2500
8 Fe 0.8860 0.1140 0.2500
9 O 0.0345 0.9655 0.2500
10 O 0.1248 0.3741 0.0554
11 O 0.1248 0.3741 0.4446
12 O 0.2891 0.7109 0.7500
13 O 0.3741 0.1248 0.5554
14 O 0.3741 0.1248 0.9446
15 O 0.6259 0.8752 0.0554
16 O 0.6259 0.8752 0.4446
17 O 0.7109 0.2891 0.2500
18 O 0.8752 0.6259 0.5554
19 O 0.8752 0.6259 0.9446
20 O 0.9655 0.0345 0.7500
21 F 0.2248 0.7752 0.2500
22 F 0.4782 0.5218 0.7500
23 F 0.5218 0.4782 0.2500
24 F 0.7752 0.2248 0.7500

Principal peaks in the range 2θ from 10° to 80°, by angle:
| 2θ/deg | intensity |
| --- | --- |
| 25.79 | 100 |
| 27.92 | 87 |
| 35.45 | 95 |
| 38.38 | 19 |
| 52.02 | 60 |
| 53.02 | 17 |
| 54.42 | 50 |
| 57.70 | 14 |
| 61.66 | 15 |
| 67.51 | 38 |